# K5NpTe5
Computed XRD peak list, Cu Kα X-rays. Input: a structure optimized by DFT (PBE).

The 10 most intense peaks (2θ from 10° to 90°), in order of rising 2θ:
d (Å), Rel. int.
7.089, 47
6.042, 100
3.544, 73
3.452, 78
3.286, 82
2.755, 31
2.697, 36
2.410, 51
2.380, 56
1.936, 27

Structural model:
Lattice parameters (Å, degrees): 8.744 8.744 9.584 107.30 107.30 44.15
Element x y z (fractional)
K1 0.000 0.000 0.000
K2 0.303 0.303 0.183
K3 0.322 0.322 0.647
K4 0.678 0.678 0.353
K5 0.697 0.697 0.817
Np1 0.000 0.000 0.500
Te1 0.134 0.134 0.347
Te2 0.143 0.143 0.796
Te3 0.500 0.500 0.500
Te4 0.857 0.857 0.204
Te5 0.866 0.866 0.653